# 1
Starting from a DFT-relaxed cell (GGA+U, Alexandria), the X-ray diffraction stick pattern of Li3MnCoO5 was simulated for Cu Kα.
Neutral-atom scattering factors, no anomalous dispersion.

Top 10 peaks for 2θ from 5° to 70°, by angle:
d/Å	two_theta	I (rel.)	index
10.494	8.43	21	0 0 1
5.780	15.33	12	0 1 0
4.797	18.49	100	0 1 1
2.520	35.63	14	0 1 -4
2.457	36.57	23	1 1 -2
2.099	43.10	29	0 0 5
2.044	44.33	56	1 2 -1
1.893	48.07	9	-1 1 4
1.581	58.38	10	-1 3 1
1.464	63.53	15	1 -2 5

Crystal structure
```
data_Li3MnCoO5
_chemical_formula_sum 'Li6 Mn2 Co2 O10'
_symmetry_space_group_name_H-M 'P -1'
_symmetry_Int_Tables_number 2
_symmetry_space_group_name_Hall '-P 1'
_cell_length_a 2.864
_cell_length_b 5.833
_cell_length_c 10.683
_cell_angle_alpha 97.67
_cell_angle_beta 97.53
_cell_angle_gamma 90.03
loop_
_atom_site_label
_atom_site_type_symbol
_atom_site_fract_x
_atom_site_fract_y
_atom_site_fract_z
Li1 Li 0.000 0.000 0.000
Li2 Li 0.000 0.500 0.000
Li3 Li 0.194 0.103 0.396
Li4 Li 0.415 0.711 0.822
Mn1 Mn 0.408 0.202 0.811
Co1 Co 0.192 0.596 0.397
O1 O 0.097 0.571 0.199
O2 O 0.099 0.024 0.202
O3 O 0.307 0.626 0.598
O4 O 0.308 0.180 0.610
O5 O 0.492 0.245 0.984
```



# 2
Starting from a DFT-relaxed cell (GGA+U, Alexandria), the X-ray diffraction stick pattern of Li7Mn4CoO12 was simulated for Cu Kα.
Neutral-atom scattering factors, no anomalous dispersion.

Top 10 peaks for 2θ from 5° to 70°, by angle:
d/Å	two_theta	I (rel.)	index
12.230	7.23	13	0 0 1
4.855	18.27	100	0 1 -1
2.632	34.07	18	1 1 2
2.469	36.39	22	-1 1 2
2.210	40.82	36	1 2 1
2.045	44.30	28	-1 2 1
2.038	44.45	26	0 0 6
1.503	61.73	16	0 4 2
1.499	61.89	9	2 0 0
1.455	64.00	9	1 -2 5

Crystal structure
```
data_Li7Mn4CoO12
_chemical_formula_sum 'Li7 Mn4 Co1 O12'
_symmetry_space_group_name_H-M 'P 1'
_symmetry_Int_Tables_number 1
_symmetry_space_group_name_Hall 'P 1'
_cell_length_a 3.008
_cell_length_b 6.030
_cell_length_c 12.579
_cell_angle_alpha 76.48
_cell_angle_beta 88.11
_cell_angle_gamma 85.54
loop_
_atom_site_label
_atom_site_type_symbol
_atom_site_fract_x
_atom_site_fract_y
_atom_site_fract_z
Li1 Li 0.000 0.000 0.000
Li2 Li 0.002 0.327 0.339
Li3 Li 0.019 0.182 0.662
Li4 Li 0.491 0.163 0.168
Li5 Li 0.498 0.481 0.509
Li6 Li 0.538 0.855 0.821
Li7 Li 0.974 0.647 0.660
Mn1 Mn 0.004 0.830 0.339
Mn2 Mn 0.479 0.325 0.826
Mn3 Mn 0.492 0.665 0.168
Mn4 Mn 0.976 0.494 0.999
Co1 Co 0.516 0.002 0.510
O1 O 0.006 0.110 0.831
O2 O 0.028 0.907 0.176
O3 O 0.038 0.224 0.501
O4 O 0.447 0.259 0.990
O5 O 0.470 0.590 0.328
O6 O 0.492 0.409 0.677
O7 O 0.508 0.919 0.652
O8 O 0.516 0.737 0.004
O9 O 0.533 0.065 0.350
O10 O 0.948 0.545 0.836
O11 O 0.957 0.423 0.160
O12 O 0.979 0.760 0.497
```